For Li4Mn3CoO8, a structure optimized by DFT (GGA+U) gives the calculated PXRD pattern in this record (Cu Kα (weighted mean of Kα1 and Kα2)).
No peak broadening, texture or thermal motion is included.

Structure:
abc: 10.076 10.076 5.454
angles: 100.44 100.44 16.45
Sites, in units of the cell vectors:
Li (0.123, 0.123, 0.390)
Li (0.374, 0.374, 0.144)
Li (0.626, 0.626, 0.856)
Li (0.877, 0.877, 0.610)
Mn (0.000, 0.000, 0.000)
Mn (0.252, 0.252, 0.751)
Mn (0.748, 0.748, 0.249)
Co (0.500, 0.500, 0.500)
O (0.059, 0.059, 0.673)
O (0.190, 0.190, 0.085)
O (0.307, 0.307, 0.412)
O (0.447, 0.447, 0.810)
O (0.553, 0.553, 0.190)
O (0.693, 0.693, 0.588)
O (0.810, 0.810, 0.915)
O (0.941, 0.941, 0.327)

The 10 most intense peaks (10 to 90 degrees two-theta), sorted by position:
d/Å, Position (°2θ), intensity
4.902, 18.10, 1000
2.715, 32.99, 216
2.490, 36.07, 243
2.439, 36.85, 87
2.288, 39.38, 356
2.051, 44.15, 491
1.968, 46.13, 116
1.587, 58.14, 91
1.533, 60.39, 164
1.522, 60.85, 158